Record 1
Simulated X-ray diffraction stick pattern
Compound: La4SmHo2Er
Radiation: copper Kα
Structure: a structure optimized by DFT (GGA-PBE)
Peak positions follow from Bragg's law for the DFT cell and can differ from measured ones.

The 8 most intense peaks (10° ≤ 2θ ≤ 90°), sorted by position:
| d/Å | Position (°2θ) | I (rel.) |
| --- | --- | --- |
| 2.974 | 30.1 | 100 |
| 2.624 | 34.2 | 18 |
| 2.609 | 34.4 | 18 |
| 2.498 | 35.9 | 15 |
| 1.850 | 49.2 | 13 |
| 1.574 | 58.6 | 15 |
| 1.568 | 58.9 | 15 |
| 1.519 | 61.0 | 13 |

Structure:
a b c (Å): 5.2176 5.2488 9.9926
angles (deg): 90.00 90.00 90.00
Fractional coordinates of all 8 atoms:
La 0.0000 0.0000 0.2474
La 0.0000 0.0000 0.7526
La 0.5000 0.5000 0.2476
La 0.5000 0.5000 0.7524
Sm 0.5000 0.0000 0.5000
Ho 0.0000 0.5000 0.5000
Ho 0.5000 0.0000 0.0000
Er 0.0000 0.5000 0.0000

Record 2
Simulated X-ray diffraction stick pattern
Compound: TiV2Re2
Radiation: copper Kα
Structure: a structure optimized by DFT (GGA-PBE)
Peak positions follow from Bragg's law for the DFT cell and can differ from measured ones.

The 8 most intense peaks (10° ≤ 2θ ≤ 90°), sorted by position:
| d/Å | Position (°2θ) | I (rel.) |
| --- | --- | --- |
| 7.852 | 11.3 | 22 |
| 3.926 | 22.7 | 58 |
| 3.067 | 29.1 | 39 |
| 2.411 | 37.3 | 63 |
| 2.216 | 40.7 | 96 |
| 2.165 | 41.7 | 100 |
| 1.988 | 45.6 | 40 |
| 1.258 | 75.6 | 30 |

Structure:
a b c (Å): 8.0057 8.0057 3.0554
angles (deg): 90.00 90.00 157.47
Fractional coordinates of all 5 atoms:
Ti 0.0000 0.0000 0.0000
V 0.1885 0.8115 0.0000
V 0.8115 0.1885 0.0000
Re 0.3970 0.6030 0.5000
Re 0.6030 0.3970 0.5000

Record 3
Simulated X-ray diffraction stick pattern
Compound: Ca2La15Dy2
Radiation: copper Kα
Structure: a structure optimized by DFT (GGA-PBE)
Peak positions follow from Bragg's law for the DFT cell and can differ from measured ones.

The 8 most intense peaks (10° ≤ 2θ ≤ 90°), sorted by position:
| d/Å | Position (°2θ) | I (rel.) |
| --- | --- | --- |
| 5.899 | 15.0 | 25 |
| 3.376 | 26.4 | 29 |
| 2.999 | 29.8 | 25 |
| 2.961 | 30.2 | 72 |
| 2.946 | 30.3 | 98 |
| 2.673 | 33.5 | 37 |
| 2.647 | 33.9 | 100 |
| 1.702 | 53.9 | 38 |

Structure:
a b c (Å): 9.0754 9.0754 9.0754
angles (deg): 81.08 81.08 81.08
Fractional coordinates of all 19 atoms:
Ca 0.1702 0.1702 0.1702
Ca 0.8298 0.8298 0.8298
La 0.0000 0.5000 0.5000
La 0.1377 0.1377 0.6482
La 0.1377 0.6482 0.1377
La 0.2072 0.5000 0.7928
La 0.2072 0.7928 0.5000
La 0.3518 0.8623 0.8623
La 0.5000 0.0000 0.5000
La 0.5000 0.2072 0.7928
La 0.5000 0.5000 0.0000
La 0.5000 0.7928 0.2072
La 0.6482 0.1377 0.1377
La 0.7928 0.2072 0.5000
La 0.7928 0.5000 0.2072
La 0.8623 0.3518 0.8623
La 0.8623 0.8623 0.3518
Dy 0.4048 0.4048 0.4048
Dy 0.5952 0.5952 0.5952

Record 4
Simulated X-ray diffraction stick pattern
Compound: Tl3Hg7Sb2
Radiation: copper Kα
Structure: a structure optimized by DFT (GGA-PBE)
Peak positions follow from Bragg's law for the DFT cell and can differ from measured ones.

The 8 most intense peaks (10° ≤ 2θ ≤ 90°), sorted by position:
| d/Å | Position (°2θ) | I (rel.) |
| --- | --- | --- |
| 2.947 | 30.3 | 71 |
| 2.918 | 30.6 | 100 |
| 2.780 | 32.2 | 78 |
| 2.723 | 32.9 | 53 |
| 2.568 | 34.9 | 51 |
| 2.448 | 36.7 | 45 |
| 2.172 | 41.6 | 39 |
| 1.884 | 48.3 | 23 |

Structure:
a b c (Å): 5.9938 7.1707 9.1596
angles (deg): 111.51 97.04 100.34
Fractional coordinates of all 12 atoms:
Tl 0.0000 0.0000 0.0000
Tl 0.2069 0.3944 0.3646
Tl 0.7931 0.6056 0.6354
Hg 0.0000 0.5000 0.0000
Hg 0.3083 0.2459 0.6615
Hg 0.3331 0.8299 0.6913
Hg 0.4994 0.2904 0.0295
Hg 0.5006 0.7096 0.9705
Hg 0.6669 0.1701 0.3087
Hg 0.6917 0.7541 0.3385
Sb 0.1860 0.8206 0.3053
Sb 0.8141 0.1794 0.6947

Record 5
Simulated X-ray diffraction stick pattern
Compound: FeCoP2
Radiation: copper Kα
Structure: a structure optimized by DFT (GGA-PBE)
Peak positions follow from Bragg's law for the DFT cell and can differ from measured ones.

The 8 most intense peaks (10° ≤ 2θ ≤ 90°), sorted by position:
| d/Å | Position (°2θ) | I (rel.) |
| --- | --- | --- |
| 3.445 | 25.9 | 20 |
| 2.303 | 39.1 | 14 |
| 2.148 | 42.1 | 100 |
| 2.136 | 42.3 | 49 |
| 1.743 | 52.5 | 50 |
| 1.737 | 52.7 | 24 |
| 1.722 | 53.2 | 24 |
| 1.357 | 69.2 | 20 |

Structure:
a b c (Å): 3.7879 3.7879 4.6916
angles (deg): 101.92 101.92 42.31
Fractional coordinates of all 4 atoms:
Fe 0.0000 0.0000 0.0000
Co 0.5000 0.5000 0.5000
P 0.2519 0.2519 0.7568
P 0.7481 0.7481 0.2432

Record 6
Simulated X-ray diffraction stick pattern
Compound: LaTb4PrEr2
Radiation: copper Kα
Structure: a structure optimized by DFT (GGA-PBE)
Peak positions follow from Bragg's law for the DFT cell and can differ from measured ones.

The 8 most intense peaks (10° ≤ 2θ ≤ 90°), sorted by position:
| d/Å | Position (°2θ) | I (rel.) |
| --- | --- | --- |
| 2.932 | 30.5 | 100 |
| 2.543 | 35.3 | 34 |
| 2.532 | 35.4 | 17 |
| 1.798 | 50.8 | 12 |
| 1.794 | 50.9 | 24 |
| 1.533 | 60.4 | 29 |
| 1.528 | 60.6 | 14 |
| 1.466 | 63.4 | 12 |

Structure:
a b c (Å): 7.1915 7.1953 10.1292
angles (deg): 90.00 90.06 90.00
Fractional coordinates of all 16 atoms:
La 0.0000 0.0000 0.0000
La 0.5000 0.0000 0.0000
Tb 0.2473 0.2533 0.2542
Tb 0.2473 0.2533 0.7458
Tb 0.2473 0.7467 0.2542
Tb 0.2473 0.7467 0.7458
Tb 0.7527 0.2533 0.2542
Tb 0.7527 0.2533 0.7458
Tb 0.7527 0.7467 0.2542
Tb 0.7527 0.7467 0.7458
Pr 0.5000 0.0000 0.5000
Pr 0.5000 0.5000 0.0000
Er 0.0000 0.0000 0.5000
Er 0.0000 0.5000 0.0000
Er 0.0000 0.5000 0.5000
Er 0.5000 0.5000 0.5000

Record 7
Simulated X-ray diffraction stick pattern
Compound: NiN
Radiation: copper Kα
Structure: a structure optimized by DFT (GGA-PBE)
Peak positions follow from Bragg's law for the DFT cell and can differ from measured ones.

The 8 most intense peaks (10° ≤ 2θ ≤ 90°), sorted by position:
| d/Å | Position (°2θ) | I (rel.) |
| --- | --- | --- |
| 3.595 | 24.8 | 100 |
| 2.296 | 39.2 | 48 |
| 2.139 | 42.3 | 75 |
| 2.057 | 44.0 | 17 |
| 1.976 | 45.9 | 29 |
| 1.797 | 50.8 | 13 |
| 1.780 | 51.3 | 33 |
| 1.577 | 58.5 | 22 |

Structure:
a b c (Å): 3.8294 2.8200 4.2103
angles (deg): 90.00 110.17 90.00
Fractional coordinates of all 4 atoms:
Ni 0.0000 0.0000 0.0000
Ni 0.0000 0.5000 0.5000
N 0.3238 0.0000 0.4419
N 0.6762 0.0000 0.5581

- What is the formula in the fourth record?
  Tl3Hg7Sb2